Record 1
Structure and computed X-ray powder pattern of Tb4Pm2Mg (a cell relaxed with PBE; a wavelength of 1.5418 Å).
Neutral-atom scattering factors, no anomalous dispersion.

Most intense lines, 10 to 80 degrees two-theta, sorted by position:
2theta, d [Å], I/Imax, index
14.1, 6.284, 173, 0 2 0
26.6, 3.349, 226, 1 3 0
30.4, 2.940, 98, 1 2 1
31.0, 2.881, 111, 1 2 -2
31.8, 2.817, 347, 0 1 2
32.7, 2.737, 142, 1 4 0
32.9, 2.722, 1000, 2 0 -2
34.4, 2.605, 178, 1 3 1
35.2, 2.549, 105, 2 2 0
46.3, 1.962, 106, 3 2 -1

Crystal structure
abc: 6.2688 12.5673 6.4987
angles: 90.00 117.17 90.00
Sites, in units of the cell vectors:
Tb 0.0681 0.1670 0.3532
Tb 0.0681 0.3330 0.8532
Tb 0.4207 0.7271 0.6783
Tb 0.4207 0.7729 0.1783
Tb 0.5793 0.2271 0.8217
Tb 0.5793 0.2729 0.3217
Tb 0.9319 0.6670 0.1468
Tb 0.9319 0.8330 0.6468
Pm 0.1893 0.0655 0.9108
Pm 0.1893 0.4345 0.4108
Pm 0.8107 0.5655 0.5892
Pm 0.8107 0.9345 0.0892
Mg 0.5000 0.0000 0.5000
Mg 0.5000 0.5000 0.0000

Record 2
Structure and computed X-ray powder pattern of TiIn2I5 (a cell relaxed with PBE; a wavelength of 1.5418 Å).
Neutral-atom scattering factors, no anomalous dispersion.

Most intense lines, 10 to 80 degrees two-theta, sorted by position:
2theta, d [Å], I/Imax, index
13.0, 6.814, 332, 1 0 1
14.6, 6.074, 436, 0 0 2
21.1, 4.202, 207, 1 1 2
26.2, 3.407, 1000, 2 0 2
30.7, 2.910, 589, 2 2 0
34.2, 2.624, 194, 2 2 2
36.8, 2.444, 353, 2 0 4
44.0, 2.058, 203, 4 0 0
51.9, 1.761, 257, 4 2 2
58.7, 1.574, 150, 4 2 4

Crystal structure
abc: 8.2312 8.2312 12.1473
angles: 90.00 90.00 90.00
Sites, in units of the cell vectors:
Ti 0.0000 0.0000 0.0000
Ti 0.5000 0.5000 0.5000
In 0.0000 0.5000 0.3037
In 0.0000 0.5000 0.8037
In 0.5000 0.0000 0.3037
In 0.5000 0.0000 0.8037
I 0.0000 0.0000 0.2144
I 0.2318 0.2318 0.9447
I 0.2318 0.7682 0.9447
I 0.2682 0.2682 0.4447
I 0.2682 0.7318 0.4447
I 0.5000 0.5000 0.7144
I 0.7318 0.2682 0.4447
I 0.7318 0.7318 0.4447
I 0.7682 0.2318 0.9447
I 0.7682 0.7682 0.9447